The following is a theoretical powder XRD pattern of VF5. It was derived from DFT lattice parameters and positions (GGA+U), using Cu Ka.
Kinematic intensities with the Lorentz-polarization factor, no thermal factor.

Top 10 peaks for 10 to 90 degrees two-theta, sorted by position:
hkl 0 2 0, 2θ = 18.23°, intensity 70; hkl 0 1 1, 2θ = 19.93°, intensity 100; hkl 2 1 0, 2θ = 22.49°, intensity 82; hkl 2 0 1, 2θ = 27.23°, intensity 23; hkl 2 2 0, 2θ = 27.57°, intensity 23; hkl 0 3 1, 2θ = 32.93°, intensity 28; hkl 3 1 1, 2θ = 37.14°, intensity 16; hkl 1 4 1, 2θ = 42.61°, intensity 15; hkl 2 3 2, 2θ = 50.63°, intensity 23; hkl 0 4 2, 2θ = 52.42°, intensity 16

Structural model:
a = 8.6499 Å, b = 9.7333 Å, c = 5.0121 Å
α = 90.00°, β = 90.00°, γ = 90.00°
Atoms (fractional coordinates):
V: 0.0888 0.2500 0.2051
V: 0.4112 0.7500 0.7051
V: 0.5888 0.2500 0.2949
V: 0.9112 0.7500 0.7949
F: 0.0759 0.1259 0.4615
F: 0.0759 0.3741 0.4615
F: 0.0945 0.7500 0.9382
F: 0.1932 0.1251 0.0221
F: 0.1932 0.3749 0.0221
F: 0.3068 0.6251 0.5221
F: 0.3068 0.8749 0.5221
F: 0.4055 0.2500 0.4382
F: 0.4241 0.6259 0.9615
F: 0.4241 0.8741 0.9615
F: 0.5759 0.1259 0.0385
F: 0.5759 0.3741 0.0385
F: 0.5945 0.7500 0.5618
F: 0.6932 0.1251 0.4779
F: 0.6932 0.3749 0.4779
F: 0.8068 0.6251 0.9779
F: 0.8068 0.8749 0.9779
F: 0.9055 0.2500 0.0618
F: 0.9241 0.6259 0.5385
F: 0.9241 0.8741 0.5385